(1)
For Ti4Zn5Ni, a DFT-relaxed cell (GGA-PBE, Alexandria) gives the computed powder diffractogram in this record (Cu Kα).

Structure:
```
data_Ti4Zn5Ni
_chemical_formula_sum 'Ti4 Zn5 Ni1'
_cell_length_a 3.081
_cell_length_b 3.081
_cell_length_c 15.702
_cell_angle_alpha 90.00
_cell_angle_beta 90.00
_cell_angle_gamma 90.00
_space_group_name_H-M_alt 'P 4/m m m'
_space_group_IT_number 123
_space_group_name_Hall '-P 4 2'
loop_
_atom_site_label
_atom_site_fract_x
_atom_site_fract_y
_atom_site_fract_z
Ti1 0.000 0.000 0.103
Ti2 0.000 0.000 0.311
Zn1 0.500 0.500 0.000
Zn2 0.500 0.500 0.207
Zn3 0.500 0.500 0.417
Ni1 0.000 0.000 0.500
```

Top 12 peaks for 15 to 90 degrees two-theta, in order of rising 2θ:
h k l  d (Å)  2theta  intensity
1 0 0  3.081  28.98  3.8
1 0 4  2.424  37.10  2.5
1 0 5  2.199  41.04  100.0
1 1 0  2.178  41.45  53.5
1 0 6  1.995  45.48  3.3
1 0 7  1.813  50.32  1.7
0 0 10  1.570  58.81  5.9
2 0 0  1.540  60.06  16.6
1 1 9  1.362  68.96  2.6
1 1 10  1.274  74.49  11.1
2 1 5  1.262  75.33  29.2
2 0 10  1.100  89.03  6.9

(2)
For FeS8Br2, a DFT-relaxed cell (GGA-PBE, Alexandria) gives the computed powder diffractogram in this record (Cu Kα).

Structure:
```
data_FeS8Br2
_chemical_formula_sum 'Fe1 S8 Br2'
_cell_length_a 3.702
_cell_length_b 6.840
_cell_length_c 11.229
_cell_angle_alpha 93.50
_cell_angle_beta 96.71
_cell_angle_gamma 94.38
_space_group_name_H-M_alt 'P -1'
_space_group_IT_number 2
_space_group_name_Hall '-P 1'
loop_
_atom_site_label
_atom_site_fract_x
_atom_site_fract_y
_atom_site_fract_z
Fe1 0.000 0.000 0.000
S1 0.080 0.072 0.194
S2 0.408 0.890 0.286
S3 0.442 0.652 0.164
S4 0.452 0.785 0.006
Br1 0.108 0.637 0.437
```

Top 12 peaks for 15 to 90 degrees two-theta, in order of rising 2θ:
h k l  d (Å)  2theta  intensity
0 1 1  5.629  15.74  100.0
0 1 2  4.164  21.34  14.1
1 0 1  3.360  26.53  23.4
0 1 3  3.163  28.21  17.9
1 -1 1  3.138  28.44  22.7
1 1 -1  3.116  28.65  17.8
1 1 -2  2.897  30.87  15.2
1 -2 0  2.603  34.45  16.9
1 2 -1  2.406  37.38  16.4
-1 2 2  2.389  37.65  11.9
0 2 -4  2.232  40.41  13.0
1 -2 5  1.665  55.17  11.4

(3)
For Li8Mg4Cd3, a DFT-relaxed cell (GGA-PBE, Alexandria) gives the computed powder diffractogram in this record (Cu Kα).

Structure:
```
data_Li8Mg4Cd3
_chemical_formula_sum 'Li8 Mg4 Cd3'
_cell_length_a 5.939
_cell_length_b 6.074
_cell_length_c 8.793
_cell_angle_alpha 89.44
_cell_angle_beta 89.73
_cell_angle_gamma 76.45
_space_group_name_H-M_alt 'P -1'
_space_group_IT_number 2
_space_group_name_Hall '-P 1'
loop_
_atom_site_label
_atom_site_fract_x
_atom_site_fract_y
_atom_site_fract_z
Li1 0.208 0.282 0.224
Li2 0.211 0.282 0.775
Li3 0.273 0.779 0.247
Li4 0.273 0.780 0.753
Mg1 0.000 0.000 0.500
Mg2 0.500 0.000 0.500
Mg3 0.500 0.500 0.000
Mg4 0.500 0.500 0.500
Cd1 0.000 0.000 0.000
Cd2 0.000 0.500 0.500
Cd3 0.500 0.000 0.000
```

Top 12 peaks for 15 to 90 degrees two-theta, in order of rising 2θ:
h k l  d (Å)  2theta  intensity
0 1 1  4.922  18.02  66.1
0 1 -1  4.882  18.17  64.8
1 0 -1  4.826  18.38  19.5
0 0 2  4.396  20.20  100.0
0 2 0  2.952  30.27  37.0
2 0 0  2.887  30.98  34.9
0 2 2  2.461  36.51  31.1
0 2 -2  2.441  36.82  30.7
2 0 2  2.416  37.22  29.7
2 0 -2  2.410  37.30  31.6
2 2 0  2.359  38.15  27.4
0 0 4  2.198  41.06  22.2

(4)
For Tm5SeS4, a DFT-relaxed cell (GGA-PBE, Alexandria) gives the computed powder diffractogram in this record (Cu Kα).

Structure:
```
data_Tm5SeS4
_chemical_formula_sum 'Tm10 Se2 S8'
_cell_length_a 12.900
_cell_length_b 3.871
_cell_length_c 9.493
_cell_angle_alpha 90.00
_cell_angle_beta 119.67
_cell_angle_gamma 90.00
_space_group_name_H-M_alt 'C 1 2/m 1'
_space_group_IT_number 12
_space_group_name_Hall '-C 2y'
loop_
_atom_site_label
_atom_site_fract_x
_atom_site_fract_y
_atom_site_fract_z
Tm1 0.000 0.000 0.000
Tm2 0.109 0.500 0.394
Tm3 0.206 0.000 0.809
Se1 0.000 0.000 0.500
S1 0.096 0.500 0.896
S2 0.203 0.000 0.296
```

Top 12 peaks for 15 to 90 degrees two-theta, in order of rising 2θ:
h k l  d (Å)  2theta  intensity
2 0 -3  3.169  28.16  50.1
1 1 1  3.161  28.23  51.8
3 1 -2  2.743  32.64  100.0
2 0 2  2.737  32.72  49.9
5 1 0  1.941  46.80  52.5
0 2 0  1.935  46.95  53.9
4 2 -1  1.654  55.58  19.4
2 2 -3  1.651  55.68  20.2
2 2 2  1.581  58.37  27.6
8 2 -2  1.228  77.77  14.4
3 3 -2  1.225  77.99  23.2
1 3 -4  1.118  87.21  18.4

(5)
For PrPu2ThP4, a DFT-relaxed cell (GGA-PBE, Alexandria) gives the computed powder diffractogram in this record (Cu Kα).

Structure:
```
data_PrPu2ThP4
_chemical_formula_sum 'Pr1 Pu2 Th1 P4'
_cell_length_a 7.058
_cell_length_b 4.101
_cell_length_c 7.089
_cell_angle_alpha 90.00
_cell_angle_beta 109.73
_cell_angle_gamma 90.00
_space_group_name_H-M_alt 'P 1 2/m 1'
_space_group_IT_number 10
_space_group_name_Hall '-P 2y'
loop_
_atom_site_label
_atom_site_fract_x
_atom_site_fract_y
_atom_site_fract_z
Pr1 0.000 0.000 0.000
Pu1 0.500 0.000 0.500
Pu2 0.500 0.500 0.000
Th1 0.000 0.500 0.500
P1 0.261 0.000 0.752
P2 0.264 0.500 0.259
```

Top 12 peaks for 15 to 90 degrees two-theta, in order of rising 2θ:
h k l  d (Å)  2theta  intensity
0 0 2  3.343  26.67  78.5
2 0 0  3.322  26.84  25.9
1 1 1  2.890  30.94  100.0
0 2 0  2.048  44.21  37.8
3 1 -1  2.041  44.39  24.8
2 0 2  2.035  44.52  12.3
2 2 0  1.746  52.42  31.0
4 0 -2  1.740  52.58  13.2
2 2 -2  1.673  54.89  13.4
4 0 -4  1.445  64.48  12.4
1 3 1  1.295  73.04  11.6
5 1 -3  1.291  73.33  11.4

(6)
For U6Ag, a DFT-relaxed cell (GGA-PBE, Alexandria) gives the computed powder diffractogram in this record (Cu Kα).

Structure:
```
data_U6Ag
_chemical_formula_sum 'U12 Ag2'
_cell_length_a 7.114
_cell_length_b 7.114
_cell_length_c 7.114
_cell_angle_alpha 90.00
_cell_angle_beta 90.00
_cell_angle_gamma 90.00
_space_group_name_H-M_alt 'I m -3 m'
_space_group_IT_number 229
_space_group_name_Hall '-I 4 2 3'
loop_
_atom_site_label
_atom_site_fract_x
_atom_site_fract_y
_atom_site_fract_z
U1 0.000 0.250 0.500
Ag1 0.000 0.000 0.000
```

Top 12 peaks for 15 to 90 degrees two-theta, in order of rising 2θ:
h k l  d (Å)  2theta  intensity
1 1 0  5.030  17.63  66.8
2 0 0  3.557  25.03  41.8
2 1 1  2.904  30.79  100.0
3 1 0  2.250  40.08  18.2
2 2 2  2.054  44.10  62.1
3 2 1  1.901  47.84  59.9
4 0 0  1.778  51.38  41.6
4 2 0  1.591  57.98  17.0
3 3 2  1.517  61.10  14.6
5 2 1  1.299  72.82  17.8
4 4 0  1.258  75.62  28.0
6 1 1  1.154  83.83  19.1

(7)
For Fe3PbSe, a DFT-relaxed cell (GGA-PBE, Alexandria) gives the computed powder diffractogram in this record (Cu Kα).

Structure:
```
data_Fe3PbSe
_chemical_formula_sum 'Fe3 Pb1 Se1'
_cell_length_a 4.474
_cell_length_b 4.474
_cell_length_c 4.474
_cell_angle_alpha 90.00
_cell_angle_beta 90.00
_cell_angle_gamma 90.00
_space_group_name_H-M_alt 'P m -3 m'
_space_group_IT_number 221
_space_group_name_Hall '-P 4 2 3'
loop_
_atom_site_label
_atom_site_fract_x
_atom_site_fract_y
_atom_site_fract_z
Fe1 0.000 0.000 0.500
Pb1 0.500 0.500 0.500
Se1 0.000 0.000 0.000
```

Top 12 peaks for 15 to 90 degrees two-theta, in order of rising 2θ:
h k l  d (Å)  2theta  intensity
1 0 0  4.474  19.84  8.2
1 1 0  3.164  28.21  100.0
1 1 1  2.583  34.73  71.1
2 0 0  2.237  40.32  81.8
2 1 0  2.001  45.32  5.4
2 1 1  1.827  49.93  43.5
2 2 0  1.582  58.33  53.8
3 1 0  1.415  66.03  19.5
3 1 1  1.349  69.70  26.7
2 2 2  1.292  73.29  18.0
3 2 1  1.196  80.29  23.5
4 0 0  1.119  87.13  8.8

Question: Which formula does entry 5 have?
Answer: PrPu2ThP4